(1)
# CsLi4Pr3Br12
Theoretical powder XRD pattern, CuKα. Input: a cell relaxed with GGA-PBE.
No peak broadening, texture or thermal motion is included.

Peak list (10 most intense, 10° ≤ 2θ ≤ 90°, low angle first)
- 2θ 11.11, d 7.960, I 49
- 2θ 15.58, d 5.686, I 28
- 2θ 19.18, d 4.627, I 28
- 2θ 21.88, d 4.063, I 30
- 2θ 29.34, d 3.044, I 100
- 2θ 37.18, d 2.418, I 23
- 2θ 40.86, d 2.208, I 23
- 2θ 43.05, d 2.101, I 35
- 2θ 45.58, d 1.990, I 24
- 2θ 49.71, d 1.834, I 26

Structural model:
Lattice parameters (Å, degrees): 15.9208 15.9208 10.0586 90.00 90.00 120.00
Space group R32 (No. 155, hexagonal axes)
Unique sites:
Cs: 0.0000 0.0000 0.0000
Li: 0.0000 0.0000 0.5000
Li: 0.0000 0.4136 0.5000
Pr: 0.0000 0.5787 0.0000
Br: 0.0000 0.5736 0.5000
Br: 0.0000 0.8474 0.5000
Br: 0.0685 0.2395 0.1673



(2)
# Cs3Li2PrBr8
Theoretical powder XRD pattern, CuKα. Input: a cell relaxed with GGA-PBE.
No peak broadening, texture or thermal motion is included.

Peak list (10 most intense, 10° ≤ 2θ ≤ 90°, low angle first)
- 2θ 21.50, d 4.133, I 22
- 2θ 22.20, d 4.005, I 73
- 2θ 25.97, d 3.431, I 43
- 2θ 27.13, d 3.287, I 100
- 2θ 28.24, d 3.161, I 51
- 2θ 31.10, d 2.876, I 91
- 2θ 36.85, d 2.439, I 29
- 2θ 43.81, d 2.067, I 42
- 2θ 45.29, d 2.002, I 53
- 2θ 52.95, d 1.729, I 34

Structural model:
Lattice parameters (Å, degrees): 8.0095 8.0095 10.2933 90.00 90.00 120.00
Space group P-3m1 (No. 164)
Unique sites:
Cs: 0.0000 0.0000 0.0000
Cs: 0.3333 0.6667 0.6477
Li: 0.3333 0.6667 0.2078
Pr: 0.0000 0.0000 0.5000
Br: 0.1683 0.3365 0.3317
Br: 0.3333 0.6667 0.9779



(3)
# CsLiReBr6
Theoretical powder XRD pattern, CuKα. Input: a cell relaxed with GGA-PBE.
No peak broadening, texture or thermal motion is included.

Peak list (10 most intense, 10° ≤ 2θ ≤ 90°, low angle first)
- 2θ 10.83, d 8.169, I 59
- 2θ 15.73, d 5.634, I 74
- 2θ 18.34, d 4.837, I 93
- 2θ 22.04, d 4.033, I 21
- 2θ 27.97, d 3.190, I 72
- 2θ 33.93, d 2.642, I 100
- 2θ 41.30, d 2.186, I 24
- 2θ 45.33, d 2.001, I 37
- 2θ 51.97, d 1.759, I 27
- 2θ 56.39, d 1.632, I 18

Structural model:
Lattice parameters (Å, degrees): 6.9307 6.9307 16.3374 90.00 90.00 120.00
Space group P-31c (No. 163)
Unique sites:
Cs: 0.0000 0.0000 0.0000
Li: 0.3333 0.6667 0.2500
Re: 0.3333 0.6667 0.7500
Br: 0.0236 0.3799 0.6602



(4)
# Cs2LiRhBr6
Theoretical powder XRD pattern, CuKα. Input: a cell relaxed with GGA-PBE.
No peak broadening, texture or thermal motion is included.

Peak list (10 most intense, 10° ≤ 2θ ≤ 90°, low angle first)
- 2θ 13.88, d 6.380, I 25
- 2θ 14.33, d 6.179, I 26
- 2θ 23.87, d 3.728, I 29
- 2θ 27.97, d 3.190, I 73
- 2θ 28.90, d 3.089, I 70
- 2θ 30.74, d 2.909, I 100
- 2θ 37.03, d 2.428, I 34
- 2θ 45.29, d 2.002, I 18
- 2θ 48.87, d 1.864, I 52
- 2θ 54.07, d 1.696, I 17

Structural model:
Lattice parameters (Å, degrees): 8.0097 9.7101 8.4628 90.00 90.00 90.00
Space group Pmmn (No. 59, origin choice 2)
Unique sites:
Cs: 0.2500 0.0069 0.2307
Li: 0.2500 0.7500 0.6125
Rh: 0.2500 0.2500 0.7477
Br: 0.0290 0.2500 0.5275
Br: 0.0299 0.2500 0.9564
Br: 0.2500 0.5119 0.7599



(5)
# CsLiSbBr6
Theoretical powder XRD pattern, CuKα. Input: a cell relaxed with GGA-PBE.
No peak broadening, texture or thermal motion is included.

Peak list (10 most intense, 10° ≤ 2θ ≤ 90°, low angle first)
- 2θ 10.80, d 8.193, I 27
- 2θ 17.96, d 4.939, I 100
- 2θ 27.22, d 3.276, I 93
- 2θ 33.27, d 2.693, I 95
- 2θ 40.08, d 2.250, I 31
- 2θ 43.88, d 2.063, I 36
- 2θ 44.23, d 2.048, I 24
- 2θ 51.42, d 1.777, I 33
- 2θ 54.62, d 1.680, I 21
- 2θ 56.15, d 1.638, I 19

Structural model:
Lattice parameters (Å, degrees): 7.1481 7.1481 8.1934 90.00 90.00 120.00
Space group P312 (No. 149)
Unique sites:
Cs: 0.0000 0.0000 0.0000
Li: 0.3333 0.6667 0.5000
Sb: 0.6667 0.3333 0.5000
Br: 0.3767 0.0039 0.6925



(6)
# Cs3Li2ScBr8
Theoretical powder XRD pattern, CuKα. Input: a cell relaxed with GGA-PBE.
No peak broadening, texture or thermal motion is included.

Peak list (10 most intense, 10° ≤ 2θ ≤ 90°, low angle first)
- 2θ 22.97, d 3.872, I 50
- 2θ 26.38, d 3.378, I 56
- 2θ 28.03, d 3.184, I 100
- 2θ 29.02, d 3.077, I 25
- 2θ 32.00, d 2.797, I 85
- 2θ 37.80, d 2.380, I 21
- 2θ 44.84, d 2.022, I 29
- 2θ 46.93, d 1.936, I 42
- 2θ 52.77, d 1.735, I 18
- 2θ 54.64, d 1.680, I 42

Structural model:
Lattice parameters (Å, degrees): 7.7446 7.7446 10.1345 90.00 90.00 120.00
Space group P-3m1 (No. 164)
Unique sites:
Cs: 0.0000 0.0000 0.0000
Cs: 0.3333 0.6667 0.6522
Li: 0.3333 0.6667 0.2228
Sc: 0.0000 0.0000 0.5000
Br: 0.1604 0.3208 0.3443
Br: 0.3333 0.6667 0.9900



(7)
# CsLiTlSiBr
Theoretical powder XRD pattern, CuKα. Input: a cell relaxed with GGA-PBE.
No peak broadening, texture or thermal motion is included.

Peak list (10 most intense, 10° ≤ 2θ ≤ 90°, low angle first)
- 2θ 18.06, d 4.913, I 55
- 2θ 23.79, d 3.740, I 40
- 2θ 24.73, d 3.599, I 79
- 2θ 25.61, d 3.478, I 100
- 2θ 26.80, d 3.327, I 40
- 2θ 28.40, d 3.143, I 30
- 2θ 34.49, d 2.601, I 34
- 2θ 37.58, d 2.393, I 30
- 2θ 41.68, d 2.167, I 27
- 2θ 42.30, d 2.137, I 28

Structural model:
Lattice parameters (Å, degrees): 15.0969 5.2014 4.7539 90.00 97.77 90.00
Space group Cm (No. 8)
Unique sites:
Cs: 0.0000 0.0000 0.0000
Li: 0.2933 0.0000 0.2005
Tl: 0.1772 0.5000 0.5837
Si: 0.2456 0.5000 0.1126
Br: 0.4490 0.0000 0.4805



(8)
# CsLiSnBr6
Theoretical powder XRD pattern, CuKα. Input: a cell relaxed with GGA-PBE.
No peak broadening, texture or thermal motion is included.

Peak list (10 most intense, 10° ≤ 2θ ≤ 90°, low angle first)
- 2θ 10.77, d 8.211, I 32
- 2θ 14.48, d 6.116, I 20
- 2θ 18.09, d 4.905, I 100
- 2θ 27.50, d 3.244, I 92
- 2θ 33.47, d 2.677, I 96
- 2θ 40.54, d 2.225, I 29
- 2θ 44.43, d 2.039, I 57
- 2θ 51.49, d 1.775, I 24
- 2θ 55.30, d 1.661, I 19
- 2θ 56.76, d 1.622, I 17

Structural model:
Lattice parameters (Å, degrees): 7.0618 7.0618 8.2113 90.00 90.00 120.00
Space group P312 (No. 149)
Unique sites:
Cs: 0.0000 0.0000 0.0000
Li: 0.3333 0.6667 0.5000
Sn: 0.6667 0.3333 0.5000
Br: 0.3757 0.0113 0.6870